For Te4AuO4F20, the GGA-PBE geometry in Alexandria gives the computed X-ray diffraction stick pattern in this record (Cu Kα, 1.54184 Å).

Most intense lines, 2θ = 10–80°, sorted by position:
(hkl)	two_theta	Rel. int.
1 -1 0	18.30	73.8
0 0 2	18.41	35.1
1 -1 1	19.31	100.0
1 1 -2	22.81	45.4
1 1 1	24.30	40.8
0 2 1	26.96	46.0
0 2 -3	28.09	44.1
1 -3 0	35.54	30.7

Crystal structure
a = 5.713 Å, b = 8.773 Å, c = 10.467 Å
α = 112.16°, β = 94.51°, γ = 92.90°
Space group P-1 (No. 2)
Asymmetric unit:
Te: 0.228 0.381 0.249
Te: 0.236 0.104 0.747
Au: 0.000 0.000 0.000
O: 0.208 0.963 0.850
O: 0.255 0.150 0.135
F: 0.060 0.980 0.355
F: 0.064 0.617 0.847
F: 0.071 0.326 0.378
F: 0.086 0.273 0.875
F: 0.215 0.604 0.359
F: 0.277 0.237 0.645
F: 0.381 0.937 0.616
F: 0.388 0.447 0.126
F: 0.470 0.806 0.153
F: 0.483 0.620 0.655